(1)
Computed X-ray powder pattern of SiO2 for Cu Kα (weighted mean of Kα1 and Kα2), from a structure optimized by DFT (PBE).
Kinematic intensities with the Lorentz-polarization factor, no thermal factor.

Peak list (10 most intense, 2θ = 5–70°, in order of rising 2θ)
h k l, two_theta, d (Å), I (rel.)
1 0 0, 13.89, 6.376, 39
1 0 1, 18.76, 4.729, 100
1 1 1, 27.33, 3.263, 38
2 0 0, 27.99, 3.188, 8
1 0 2, 28.94, 3.085, 10
1 1 2, 35.25, 2.546, 10
3 0 1, 44.52, 2.035, 4
2 1 2, 45.60, 1.990, 10
3 0 3, 58.55, 1.576, 6
3 2 2, 69.58, 1.351, 4

Cell and atoms:
abc: 7.3628 7.3628 7.0510
angles: 90.00 90.00 120.00
Space group P6_522 (No. 179)
Asymmetric unit:
Si (0.2328, 0.4656, 0.2500) x6
O (0.0000, 0.3155, 0.1667) x6
O (0.2236, 0.6118, 0.4167) x6

(2)
Computed X-ray powder pattern of NaBiTe2 for Cu Kα (weighted mean of Kα1 and Kα2), from a structure optimized by DFT (PBE).
Kinematic intensities with the Lorentz-polarization factor, no thermal factor.

Peak list (10 most intense, 2θ = 5–70°, in order of rising 2θ)
h k l, two_theta, d (Å), I (rel.)
0 0 3, 11.60, 7.628, 42
1 0 1, 23.10, 3.850, 20
1 0 4, 27.65, 3.226, 100
0 1 8, 39.03, 2.308, 39
1 1 0, 39.98, 2.255, 38
1 1 3, 41.77, 2.163, 12
0 2 4, 49.30, 1.848, 21
2 0 8, 57.10, 1.613, 13
1 1 12, 63.93, 1.456, 18
2 1 4, 65.27, 1.430, 18

Cell and atoms:
abc: 4.5104 4.5104 22.8847
angles: 90.00 90.00 120.00
Space group R-3m (No. 166, hexagonal axes)
Asymmetric unit:
Na (0.0000, 0.0000, 0.0000) x3
Bi (0.0000, 0.0000, 0.5000) x3
Te (0.0000, 0.0000, 0.2458) x6

(3)
Computed X-ray powder pattern of SiO2 for Cu Kα (weighted mean of Kα1 and Kα2), from a structure optimized by DFT (PBE).
Kinematic intensities with the Lorentz-polarization factor, no thermal factor.

Peak list (10 most intense, 2θ = 5–70°, in order of rising 2θ)
h k l, two_theta, d (Å), I (rel.)
1 1 1, 17.30, 5.126, 56
0 2 0, 21.06, 4.219, 100
1 1 2, 22.04, 4.033, 95
2 0 0, 22.63, 3.929, 89
1 1 3, 28.30, 3.154, 20
0 0 4, 31.63, 2.829, 19
1 3 2, 37.50, 2.398, 17
3 1 2, 39.39, 2.287, 14
0 4 0, 42.91, 2.107, 19
1 5 2, 58.25, 1.584, 15

Cell and atoms:
abc: 7.858 8.438 11.314
angles: 90.00 90.00 90.00
Space group Ccce (No. 68, origin choice 2)
Asymmetric unit:
Si (0.196, 0.186, 0.129) x16
O (0.000, 0.250, 0.136) x8
O (0.211, 0.250, 0.750) x8
O (0.250, 0.000, 0.127) x8
O (0.250, 0.250, 0.000) x8

(4)
Computed X-ray powder pattern of K2CoBr4 for Cu Kα (weighted mean of Kα1 and Kα2), from a structure optimized by DFT (PBE).
Kinematic intensities with the Lorentz-polarization factor, no thermal factor.

Peak list (10 most intense, 2θ = 5–70°, in order of rising 2θ)
h k l, two_theta, d (Å), I (rel.)
1 0 2, 16.12, 5.499, 82
0 2 0, 23.19, 3.836, 43
0 0 4, 26.83, 3.323, 77
3 0 1, 28.15, 3.170, 68
1 2 2, 28.37, 3.146, 100
2 2 1, 30.37, 2.944, 45
3 1 1, 30.52, 2.929, 28
3 0 3, 34.11, 2.628, 27
4 2 1, 44.44, 2.039, 27
0 4 0, 47.40, 1.918, 63

Cell and atoms:
abc: 9.791 7.668 13.299
angles: 90.00 90.00 90.00
Space group Pnma (No. 62)
Asymmetric unit:
K (0.015, 0.250, 0.179) x4
K (0.154, 0.750, 0.417) x4
Co (0.230, 0.750, 0.076) x4
Br (0.014, 0.250, 0.919) x4
Br (0.185, 0.506, 0.657) x8
Br (0.186, 0.250, 0.407) x4

(5)
Computed X-ray powder pattern of CsTmS2 for Cu Kα (weighted mean of Kα1 and Kα2), from a structure optimized by DFT (PBE).
Kinematic intensities with the Lorentz-polarization factor, no thermal factor.

Peak list (10 most intense, 2θ = 5–70°, in order of rising 2θ)
h k l, two_theta, d (Å), I (rel.)
0 0 3, 11.00, 8.041, 12
0 0 6, 22.11, 4.021, 35
0 1 2, 26.44, 3.372, 56
1 0 4, 29.43, 3.035, 100
0 1 8, 39.39, 2.288, 38
1 1 0, 44.70, 2.027, 33
1 0 10, 45.62, 1.988, 20
1 1 6, 50.41, 1.810, 24
0 2 4, 54.43, 1.686, 17
1 1 12, 65.37, 1.428, 13

Cell and atoms:
abc: 4.0548 4.0548 24.1237
angles: 90.00 90.00 120.00
Space group R-3m (No. 166, hexagonal axes)
Asymmetric unit:
Cs (0.0000, 0.0000, 0.0000) x3
Tm (0.0000, 0.0000, 0.5000) x3
S (0.0000, 0.0000, 0.2264) x6

(6)
Computed X-ray powder pattern of Dy3Ni2 for Cu Kα (weighted mean of Kα1 and Kα2), from a structure optimized by DFT (PBE).
Kinematic intensities with the Lorentz-polarization factor, no thermal factor.

Peak list (10 most intense, 2θ = 5–70°, in order of rising 2θ)
h k l, two_theta, d (Å), I (rel.)
1 1 -1, 26.46, 3.369, 23
4 0 0, 27.87, 3.201, 40
0 0 3, 29.21, 3.057, 45
3 1 0, 32.22, 2.778, 41
1 1 2, 33.21, 2.698, 92
4 0 -3, 34.74, 2.582, 100
3 1 1, 35.34, 2.540, 37
5 1 -1, 42.02, 2.150, 36
0 2 0, 49.83, 1.830, 30
1 1 5, 58.41, 1.580, 22

Cell and atoms:
abc: 13.286 3.660 9.516
angles: 90.00 105.45 90.00
Space group C2/m (No. 12)
Asymmetric unit:
Dy (0.097, 0.000, 0.173) x4
Dy (0.132, 0.500, 0.497) x4
Dy (0.144, 0.500, 0.867) x4
Ni (0.035, 0.000, 0.644) x4
Ni (0.244, 0.000, 0.727) x4